For NdCu2Cl6, a crystal structure in Alexandria, relaxed with PBE gives the calculated X-ray powder pattern in this record (CuKα).
Intensities are scaled so that the largest is 100.

Lattice parameters (Å, degrees): 13.487 10.352 6.865 90.00 111.13 90.00
Space group C2/c (No. 15)
Unique sites:
Nd (0.000, 0.164, 0.250)
Cu (0.191, 0.441, 0.221)
Cl (0.104, 0.275, 0.017)
Cl (0.121, 0.051, 0.644)
Cl (0.151, 0.381, 0.505)

Most intense lines, 15 to 90 degrees two-theta, sorted by position:
h k l	two_theta	d_spacing	I (rel.)
1 1 -1	15.62	5.672	100
1 1 1	19.65	4.518	62
2 2 0	22.24	3.997	66
3 1 0	22.88	3.887	98
2 2 -1	23.38	3.805	76
2 2 1	28.92	3.088	54
4 0 -2	31.90	2.806	83
0 4 1	37.48	2.399	63